This entry pairs a crystal structure of SrV2As2O10 with its theoretical XRD peak list. Radiation: Cu Kα. Structure: a DFT-relaxed cell (PBE+U, the Materials Project).
Neutral-atom scattering factors, no anomalous dispersion.

a = 25.795 Å, b = 4.745 Å, c = 18.201 Å
α = 90.00°, β = 134.65°, γ = 90.00°
Space group Cc (No. 9)
One atom of each set of equivalent atoms:
Sr1 0.000 0.125 0.000 (multiplicity 4)
Sr2 0.246 0.312 0.501 (multiplicity 4)
V1 0.050 0.475 0.377 (multiplicity 4)
V2 0.174 0.277 0.725 (multiplicity 4)
V3 0.327 0.223 0.775 (multiplicity 4)
V4 0.448 0.027 0.121 (multiplicity 4)
As1 0.078 0.022 0.269 (multiplicity 4)
As2 0.192 0.222 0.111 (multiplicity 4)
As3 0.308 0.275 0.386 (multiplicity 4)
As4 0.422 0.471 0.229 (multiplicity 4)
O1 0.017 0.199 0.154 (multiplicity 4)
O2 0.037 0.282 0.761 (multiplicity 4)
O3 0.044 0.315 0.450 (multiplicity 4)
O4 0.095 0.434 0.639 (multiplicity 4)
O5 0.112 0.223 0.374 (multiplicity 4)
O6 0.138 0.050 0.119 (multiplicity 4)
O7 0.149 0.331 0.989 (multiplicity 4)
O8 0.159 0.064 0.806 (multiplicity 4)
O9 0.225 0.473 0.687 (multiplicity 4)
O10 0.237 0.470 0.352 (multiplicity 4)
O11 0.261 0.016 0.145 (multiplicity 4)
O12 0.276 0.031 0.812 (multiplicity 4)
O13 0.342 0.429 0.694 (multiplicity 4)
O14 0.351 0.183 0.510 (multiplicity 4)
O15 0.362 0.449 0.379 (multiplicity 4)
O16 0.385 0.278 0.121 (multiplicity 4)
O17 0.406 0.065 0.861 (multiplicity 4)
O18 0.455 0.183 0.049 (multiplicity 4)
O19 0.462 0.218 0.738 (multiplicity 4)
O20 0.482 0.301 0.345 (multiplicity 4)

Top 10 peaks for 5 to 70 degrees two-theta, by angle:
13.71°, intensity 149, (4 0 -2)
19.33°, intensity 201, (1 1 -1)
21.66°, intensity 184, (6 0 -2)
25.72°, intensity 697, (1 1 -3)
27.50°, intensity 249, (5 1 -1)
27.58°, intensity 237, (3 1 -4)
30.85°, intensity 1000, (4 0 2)
30.98°, intensity 158, (4 0 -6)
31.09°, intensity 279, (8 0 -6)
32.48°, intensity 168, (3 1 -5)